This entry pairs a crystal structure of La3Dy4Er4 with its calculated powder diffractogram. Radiation: Cu Kα X-rays. Structure: a DFT-relaxed cell (PBE, Alexandria).
Neutral-atom scattering factors, no anomalous dispersion.

Cell and atoms:
Cell: 9.6453 9.6453 9.6453 Å, 149.55 120.42 68.38°
Positions (direct):
La: 0.0000 0.0000 0.0000
La: 0.3830 0.8830 0.5000
La: 0.6170 0.1170 0.5000
Dy: 0.0025 0.3209 0.6816
Dy: 0.3606 0.6791 0.6816
Dy: 0.6394 0.3209 0.3184
Dy: 0.9975 0.6791 0.3184
Er: 0.2530 0.2530 0.0000
Er: 0.3325 0.5000 0.8325
Er: 0.6675 0.5000 0.1675
Er: 0.7470 0.7470 0.0000

Top 6 peaks for 10° ≤ 2θ ≤ 90°, by angle:
| 2θ/deg | I_rel |
| --- | --- |
| 26.2 | 72 |
| 30.0 | 100 |
| 32.7 | 68 |
| 33.2 | 49 |
| 35.1 | 64 |
| 35.4 | 52 |

=====

This entry pairs a crystal structure of La5Dy2Er3 with its calculated powder diffractogram. Radiation: Cu Kα X-rays. Structure: a DFT-relaxed cell (PBE, Alexandria).
Neutral-atom scattering factors, no anomalous dispersion.

Cell and atoms:
Cell: 9.2081 9.2081 10.1668 Å, 108.35 108.35 107.68°
Positions (direct):
La: 0.0179 0.9821 0.7500
La: 0.1209 0.3829 0.7554
La: 0.2267 0.7733 0.7500
La: 0.3829 0.1209 0.2554
La: 0.4760 0.5240 0.2500
La: 0.5240 0.4760 0.7500
La: 0.6171 0.8791 0.7446
La: 0.7733 0.2267 0.2500
La: 0.8791 0.6171 0.2446
La: 0.9821 0.0179 0.2500
Dy: 0.0257 0.2858 0.0618
Dy: 0.2858 0.0257 0.5618
Dy: 0.7142 0.9743 0.4382
Dy: 0.9743 0.7142 0.9382
Er: 0.2206 0.4734 0.4414
Er: 0.2696 0.7304 0.2500
Er: 0.4734 0.2206 0.9414
Er: 0.5266 0.7794 0.0586
Er: 0.7304 0.2696 0.7500
Er: 0.7794 0.5266 0.5586

Top 6 peaks for 10° ≤ 2θ ≤ 90°, by angle:
| 2θ/deg | I_rel |
| --- | --- |
| 29.1 | 93 |
| 30.9 | 100 |
| 33.0 | 47 |
| 35.4 | 28 |
| 60.0 | 24 |
| 61.9 | 31 |

=====

This entry pairs a crystal structure of LaDy4Er4 with its calculated powder diffractogram. Radiation: Cu Kα X-rays. Structure: a DFT-relaxed cell (PBE, Alexandria).
Neutral-atom scattering factors, no anomalous dispersion.

Cell and atoms:
Cell: 7.9472 7.9472 7.9472 Å, 95.70 95.70 143.25°
Positions (direct):
La: 0.0000 0.0000 0.0000
Dy: 0.0000 0.3346 0.3346
Dy: 0.0000 0.6654 0.6654
Dy: 0.3346 0.0000 0.3346
Dy: 0.6654 0.0000 0.6654
Er: 0.3314 0.3314 0.6627
Er: 0.3314 0.6686 0.0000
Er: 0.6686 0.3314 0.0000
Er: 0.6686 0.6686 0.3373

Top 6 peaks for 10° ≤ 2θ ≤ 90°, by angle:
| 2θ/deg | I_rel |
| --- | --- |
| 30.8 | 100 |
| 35.7 | 34 |
| 35.8 | 17 |
| 51.5 | 36 |
| 61.2 | 29 |
| 61.3 | 14 |

=====

This entry pairs a crystal structure of La3Dy7Er with its calculated powder diffractogram. Radiation: Cu Kα X-rays. Structure: a DFT-relaxed cell (PBE, Alexandria).
Neutral-atom scattering factors, no anomalous dispersion.

Cell and atoms:
Cell: 6.5645 6.7435 8.6571 Å, 99.88 98.32 95.32°
Positions (direct):
La: 0.0000 0.0000 0.0000
La: 0.1942 0.5603 0.1672
La: 0.8058 0.4397 0.8328
Dy: 0.0113 0.7704 0.5772
Dy: 0.2854 0.2744 0.7878
Dy: 0.4360 0.7920 0.8523
Dy: 0.5000 0.5000 0.5000
Dy: 0.5640 0.2080 0.1477
Dy: 0.7146 0.7256 0.2122
Dy: 0.9887 0.2296 0.4228
Er: 0.5000 0.0000 0.5000

Top 6 peaks for 10° ≤ 2θ ≤ 90°, by angle:
| 2θ/deg | I_rel |
| --- | --- |
| 31.2 | 97 |
| 31.8 | 100 |
| 31.9 | 78 |
| 32.1 | 67 |
| 32.3 | 41 |
| 32.9 | 42 |

=====

This entry pairs a crystal structure of La12Dy2Er5 with its calculated powder diffractogram. Radiation: Cu Kα X-rays. Structure: a DFT-relaxed cell (PBE, Alexandria).
Neutral-atom scattering factors, no anomalous dispersion.

Cell and atoms:
Cell: 8.8796 8.8796 9.5688 Å, 110.22 110.22 82.91°
Positions (direct):
La: 0.0206 0.5474 0.6841
La: 0.0607 0.0607 0.2795
La: 0.1375 0.6555 0.0948
La: 0.3445 0.8625 0.9052
La: 0.4047 0.4047 0.5820
La: 0.4526 0.9794 0.3159
La: 0.5474 0.0206 0.6841
La: 0.5953 0.5953 0.4180
La: 0.6555 0.1375 0.0948
La: 0.8625 0.3445 0.9052
La: 0.9393 0.9393 0.7205
La: 0.9794 0.4526 0.3159
Dy: 0.2148 0.7852 0.5000
Dy: 0.7852 0.2148 0.5000
Er: 0.1965 0.1965 0.7302
Er: 0.2804 0.2804 0.1361
Er: 0.5000 0.5000 0.0000
Er: 0.7196 0.7196 0.8639
Er: 0.8035 0.8035 0.2698

Top 6 peaks for 10° ≤ 2θ ≤ 90°, by angle:
| 2θ/deg | I_rel |
| --- | --- |
| 26.5 | 16 |
| 30.1 | 19 |
| 30.4 | 40 |
| 31.1 | 100 |
| 31.9 | 41 |
| 34.3 | 18 |

=====

This entry pairs a crystal structure of LaDy5Er8 with its calculated powder diffractogram. Radiation: Cu Kα X-rays. Structure: a DFT-relaxed cell (PBE, Alexandria).
Neutral-atom scattering factors, no anomalous dispersion.

Cell and atoms:
Cell: 8.3716 8.3716 8.3716 Å, 110.71 110.71 107.03°
Positions (direct):
La: 0.0000 0.0000 0.0000
Dy: 0.2139 0.5346 0.9031
Dy: 0.2500 0.7500 0.5000
Dy: 0.4654 0.3685 0.6793
Dy: 0.6315 0.3108 0.0969
Dy: 0.6892 0.7861 0.3207
Er: 0.1575 0.0732 0.7361
Er: 0.3371 0.4214 0.2639
Er: 0.4260 0.0254 0.2580
Er: 0.5786 0.8425 0.9157
Er: 0.7674 0.1680 0.7420
Er: 0.8320 0.5740 0.5994
Er: 0.9268 0.6629 0.0843
Er: 0.9746 0.2326 0.4006

Top 6 peaks for 10° ≤ 2θ ≤ 90°, by angle:
| 2θ/deg | I_rel |
| --- | --- |
| 28.5 | 62 |
| 29.5 | 69 |
| 29.7 | 79 |
| 34.3 | 100 |
| 34.8 | 48 |
| 35.2 | 57 |

=====

This entry pairs a crystal structure of La7Dy3Er with its calculated powder diffractogram. Radiation: Cu Kα X-rays. Structure: a DFT-relaxed cell (PBE, Alexandria).
Neutral-atom scattering factors, no anomalous dispersion.

Cell and atoms:
Cell: 7.0488 10.0072 13.0366 Å, 112.26 90.06 110.59°
Positions (direct):
La: 0.0000 0.0000 0.0000
La: 0.0003 0.0132 0.5091
La: 0.1359 0.3351 0.9532
La: 0.1368 0.3217 0.4433
La: 0.1917 0.6682 0.2271
La: 0.4055 0.4162 0.7058
La: 0.4684 0.0004 0.5008
La: 0.4812 0.4169 0.2055
La: 0.4823 0.0136 0.0096
La: 0.6542 0.3213 0.9431
La: 0.6550 0.9184 0.7468
La: 0.6685 0.3344 0.4523
La: 0.7312 0.9195 0.2470
La: 0.9446 0.6674 0.7267
Dy: 0.2322 0.0346 0.7454
Dy: 0.2695 0.0349 0.2453
Dy: 0.5680 0.6674 0.9767
Dy: 0.5691 0.6674 0.4763
Dy: 0.8675 0.3005 0.7075
Dy: 0.9040 0.3010 0.2077
Er: 0.0681 0.6677 0.9769
Er: 0.0693 0.6677 0.4771

Top 6 peaks for 10° ≤ 2θ ≤ 90°, by angle:
| 2θ/deg | I_rel |
| --- | --- |
| 29.4 | 54 |
| 30.0 | 90 |
| 31.3 | 66 |
| 32.5 | 83 |
| 33.3 | 100 |
| 33.5 | 42 |

=====

This entry pairs a crystal structure of La2DyEr5 with its calculated powder diffractogram. Radiation: Cu Kα X-rays. Structure: a DFT-relaxed cell (PBE, Alexandria).
Neutral-atom scattering factors, no anomalous dispersion.

Cell and atoms:
Cell: 10.6130 10.6130 10.6130 Å, 152.28 152.28 39.60°
Positions (direct):
La: 0.2502 0.2502 0.0000
La: 0.7498 0.7498 0.0000
Dy: 0.0000 0.0000 0.0000
Er: 0.1214 0.6214 0.5000
Er: 0.3786 0.8786 0.5000
Er: 0.5000 0.5000 0.0000
Er: 0.6214 0.1214 0.5000
Er: 0.8786 0.3786 0.5000

Top 6 peaks for 10° ≤ 2θ ≤ 90°, by angle:
| 2θ/deg | I_rel |
| --- | --- |
| 30.6 | 100 |
| 35.3 | 34 |
| 36.0 | 16 |
| 51.3 | 24 |
| 60.5 | 29 |
| 61.4 | 13 |

=====

Number 7 is which compound?
La7Dy3Er